Diffraction record for Pr2FeAs2RuO2. The X-ray diffraction stick pattern is calculated, not measured: it uses a crystal structure in Alexandria, relaxed with PBE+U and Cu Ka.
Neutral-atom scattering factors, no anomalous dispersion.

Peak list (12 most intense, 2θ from 10° to 90°, by angle)
| h k l | 2θ (°) | I/Imax |
| --- | --- | --- |
| 1 0 1 | 24.0 | 8 |
| 1 0 2 | 29.8 | 100 |
| 1 1 0 | 30.9 | 15 |
| 1 1 1 | 32.6 | 25 |
| 1 1 2 | 37.2 | 31 |
| 2 0 0 | 44.3 | 38 |
| 1 1 4 | 52.3 | 35 |
| 2 1 2 | 54.3 | 37 |
| 2 2 0 | 64.4 | 12 |
| 3 0 2 | 72.6 | 8 |
| 3 1 4 | 87.5 | 15 |
| 3 2 2 | 89.2 | 10 |

a = 4.090 Å, b = 4.090 Å, c = 8.785 Å
α = 90.00°, β = 90.00°, γ = 90.00°
Space group P-4m2 (No. 115)
One atom of each set of equivalent atoms:
Pr (0.000, 0.500, 0.136)
Fe (0.500, 0.500, 0.500)
As (0.000, 0.500, 0.666)
Ru (0.000, 0.000, 0.500)
O (0.000, 0.000, 0.000)
O (0.500, 0.500, 0.000)